NpF3: computed XRD peak list (CuKα), based on a structure optimized by DFT (GGA-PBE).
Kinematic intensities with the Lorentz-polarization factor, no thermal factor.

Largest 10 diffraction maxima, in order of rising 2θ, 2θ = 5–70°:
2θ/deg  I_rel  index
22.2  54  0 2 0
25.2  40  0 0 2
29.1  100  1 1 1
33.8  31  0 2 2
43.5  44  1 3 1
46.8  40  1 1 3
48.3  12  2 0 0
52.5  11  0 4 2
57.6  17  1 3 3
60.2  13  2 2 2

```
NpF3
1.0
3.7722 0.0000 0.0000
0.0000 8.0068 0.0000
0.0000 0.0000 7.0752
Np F
4 12
Direct
0.0000 0.2297 0.2500 Np
0.0000 0.7703 0.7500 Np
0.5000 0.2703 0.7500 Np
0.5000 0.7297 0.2500 Np
0.0000 0.0597 0.7500 F
0.0000 0.3481 0.5614 F
0.0000 0.3481 0.9386 F
0.0000 0.6519 0.0614 F
0.0000 0.6519 0.4386 F
0.0000 0.9403 0.2500 F
0.5000 0.1519 0.0614 F
0.5000 0.1519 0.4386 F
0.5000 0.4403 0.2500 F
0.5000 0.5597 0.7500 F
0.5000 0.8481 0.5614 F
0.5000 0.8481 0.9386 F
```

=====

OsOF5: computed XRD peak list (CuKα), based on a structure optimized by DFT (GGA-PBE).
Kinematic intensities with the Lorentz-polarization factor, no thermal factor.

Largest 10 diffraction maxima, in order of rising 2θ, 2θ = 5–70°:
2θ/deg  I_rel  index
21.8  45  1 1 0
22.3  27  0 1 1
22.5  58  0 0 2
23.5  100  2 0 1
24.6  70  1 1 1
31.5  36  1 1 2
38.6  19  3 1 1
40.0  24  2 0 3
47.9  21  4 0 2
50.9  16  3 1 3

```
OsOF5
1.0
8.6408 0.0000 0.0000
0.0000 4.6188 0.0000
0.0000 0.0000 7.9180
Os O F
4 4 20
Direct
0.1287 0.0787 0.0000 Os
0.3713 0.5787 0.5000 Os
0.6287 0.4213 0.0000 Os
0.8713 0.9213 0.5000 Os
0.2397 0.9292 0.8482 O
0.2603 0.4292 0.3482 O
0.7397 0.5708 0.8482 O
0.7603 0.0708 0.3482 O
0.0055 0.2437 0.1732 F
0.0064 0.7318 0.3526 F
0.0089 0.2322 0.5151 F
0.2427 0.4226 0.0159 F
0.2451 0.9274 0.1788 F
0.2549 0.4274 0.6788 F
0.2573 0.9226 0.5159 F
0.4911 0.7322 0.0151 F
0.4936 0.2318 0.8526 F
0.4945 0.7437 0.6732 F
0.5055 0.2563 0.1732 F
0.5064 0.7682 0.3526 F
0.5089 0.2678 0.5151 F
0.7427 0.0774 0.0159 F
0.7451 0.5726 0.1788 F
0.7549 0.0726 0.6788 F
0.7573 0.5774 0.5159 F
0.9911 0.7678 0.0151 F
0.9936 0.2682 0.8526 F
0.9945 0.7563 0.6732 F
```

=====

OsOF5: computed XRD peak list (CuKα), based on a structure optimized by DFT (GGA-PBE).
Kinematic intensities with the Lorentz-polarization factor, no thermal factor.

Largest 10 diffraction maxima, in order of rising 2θ, 2θ = 5–70°:
2θ/deg  I_rel  index
21.7  53  1 0 1
22.3  75  0 2 0
23.3  100  2 1 0
24.5  65  1 1 1
31.3  46  1 2 1
38.3  30  3 1 1
39.7  25  2 3 0
45.8  14  2 1 2
47.6  18  4 2 0
50.6  25  3 3 1

```
OsOF5
1.0
8.6916 0.0000 0.0000
0.0000 7.9797 0.0000
0.0000 0.0000 4.6314
Os O F
4 4 20
Direct
0.1147 0.2500 0.0672 Os
0.3853 0.7500 0.5672 Os
0.6147 0.2500 0.4328 Os
0.8853 0.7500 0.9328 Os
0.0001 0.2500 0.7732 O
0.9999 0.7500 0.2268 O
0.5001 0.2500 0.7268 O
0.4999 0.7500 0.2732 O
0.0025 0.0846 0.2615 F
0.0025 0.4154 0.2615 F
0.2377 0.2500 0.4082 F
0.2500 0.0859 0.9365 F
0.2500 0.4141 0.9365 F
0.2500 0.5859 0.4365 F
0.2500 0.9141 0.4365 F
0.2623 0.7500 0.9082 F
0.4975 0.5846 0.7615 F
0.4975 0.9154 0.7615 F
0.5025 0.0846 0.2385 F
0.5025 0.4154 0.2385 F
0.7377 0.2500 0.0918 F
0.7500 0.0859 0.5635 F
0.7500 0.4141 0.5635 F
0.7500 0.5859 0.0635 F
0.7500 0.9141 0.0635 F
0.7623 0.7500 0.5918 F
0.9975 0.5846 0.7385 F
0.9975 0.9154 0.7385 F
```

=====

OsOF4: computed XRD peak list (CuKα), based on a structure optimized by DFT (GGA-PBE).
Kinematic intensities with the Lorentz-polarization factor, no thermal factor.

Largest 10 diffraction maxima, in order of rising 2θ, 2θ = 5–70°:
2θ/deg  I_rel  index
18.6  20  1 0 1
19.7  19  1 1 0
21.1  45  1 1 1
24.7  100  0 2 2
27.2  22  1 2 1
29.7  14  0 0 4
35.9  14  1 1 4
40.8  16  2 2 1
46.1  14  1 3 4
56.0  17  2 2 5

```
OsOF4
1.0
5.1881 0.0000 0.0000
0.0000 9.0398 0.0000
0.0000 0.0000 12.0297
Os O F
8 8 32
Direct
0.1059 0.2332 0.2881 Os
0.1492 0.4798 0.9866 Os
0.3508 0.5202 0.4866 Os
0.3941 0.7668 0.7881 Os
0.6059 0.2668 0.7119 Os
0.6492 0.0202 0.0134 Os
0.8508 0.9798 0.5134 Os
0.8941 0.7332 0.2119 Os
0.0754 0.5952 0.5313 O
0.1521 0.8357 0.2444 O
0.3479 0.1643 0.7444 O
0.4246 0.4048 0.0313 O
0.5754 0.9048 0.4687 O
0.6521 0.6643 0.7556 O
0.8479 0.3357 0.2556 O
0.9246 0.0952 0.9687 O
0.0955 0.8439 0.4607 F
0.1095 0.1152 0.5526 F
0.1228 0.5776 0.1409 F
0.1255 0.3475 0.4327 F
0.1263 0.1056 0.1648 F
0.1259 0.3930 0.8450 F
0.1345 0.8779 0.8584 F
0.1360 0.6464 0.7273 F
0.3640 0.3536 0.2273 F
0.3655 0.1221 0.3584 F
0.3741 0.6070 0.3450 F
0.3737 0.8944 0.6648 F
0.3745 0.6525 0.9327 F
0.3772 0.4224 0.6409 F
0.3905 0.8848 0.0526 F
0.4045 0.1561 0.9607 F
0.5955 0.6561 0.5393 F
0.6095 0.3848 0.4474 F
0.6228 0.9224 0.8591 F
0.6255 0.1525 0.5673 F
0.6259 0.1070 0.1550 F
0.6263 0.3944 0.8352 F
0.6345 0.6221 0.1416 F
0.6360 0.8536 0.2727 F
0.8640 0.1464 0.7727 F
0.8655 0.3779 0.6416 F
0.8737 0.6056 0.3352 F
0.8741 0.8930 0.6550 F
0.8745 0.8475 0.0673 F
0.8772 0.0776 0.3591 F
0.8905 0.6152 0.9474 F
0.9045 0.3439 0.0393 F
```